Diffraction record for Ni12B5Sb. The powder diffractogram is calculated, not measured: it uses a structure optimized by DFT (PBE) and Cu Kα X-rays.
Peak positions follow from Bragg's law for the DFT cell and can differ from measured ones.

Crystal structure
Lattice parameters (Å, degrees): 6.7905 6.8270 7.6787 90.00 90.00 90.00
Space group Immm (No. 71)
Unique sites:
1 Ni 0.0000 0.1841 0.2164 (multiplicity 8)
2 Ni 0.1807 0.5000 0.1797 (multiplicity 8)
3 Ni 0.2180 0.3209 0.5000 (multiplicity 8)
4 B 0.0000 0.0000 0.0000 (multiplicity 2)
5 B 0.0000 0.3538 0.0000 (multiplicity 4)
6 B 0.0000 0.5000 0.3850 (multiplicity 4)
7 Sb 0.0000 0.0000 0.5000 (multiplicity 2)

Peak list (10 most intense, 2θ from 10° to 90°, by intensity)
hkl 2 2 2, 2θ 44.42, rel. 100
hkl 2 1 3, 2θ 46.37, rel. 64
hkl 1 3 2, 2θ 48.39, rel. 61
hkl 3 1 0, 2θ 42.06, rel. 55
hkl 0 3 1, 2θ 41.38, rel. 53
hkl 1 0 3, 2θ 37.55, rel. 53
hkl 3 2 1, 2θ 49.77, rel. 32
hkl 0 3 5, 2θ 74.57, rel. 28
hkl 5 3 2, 2θ 87.40, rel. 22
hkl 0 1 1, 2θ 17.40, rel. 19